The following is a computed XRD peak list of Ac2SbHRh6. It was derived from a cell relaxed with PBE, using Cu Ka.

Most intense lines, 10° ≤ 2θ ≤ 80°, low angle first:
Position (°2θ)	d/Å	I/Imax	index
27.60	3.232	10	0 2 0
27.84	3.205	39	1 1 2
34.06	2.632	64	0 2 2
34.48	2.601	63	2 0 2
39.78	2.266	100	2 2 0
57.51	1.602	40	2 2 4
58.08	1.588	10	4 0 0
65.08	1.433	13	3 3 2
68.32	1.373	13	2 4 2
69.07	1.360	13	4 2 2

Cell and atoms:
a b c (Å): 6.353 6.465 9.068
angles (deg): 90.00 90.00 90.00
Space group Immm (No. 71)
Inequivalent atoms, fractional coordinates:
Ac 0.000 0.000 0.248
Sb 0.000 0.500 0.500
H 0.000 0.500 0.000
Rh 0.000 0.500 0.218
Rh 0.221 0.285 0.000

The following is a computed XRD peak list of AcSmH8Rh2. It was derived from a cell relaxed with PBE, using Cu Ka.

Most intense lines, 10° ≤ 2θ ≤ 80°, low angle first:
Position (°2θ)	d/Å	I/Imax	index
22.70	3.917	14	0 1 2
27.99	3.187	100	1 0 4
31.42	2.847	9	0 1 5
36.18	2.483	57	1 1 0
43.54	2.078	23	0 1 8
46.35	1.959	26	0 2 4
57.86	1.594	10	2 0 8
60.17	1.538	24	2 1 4
65.07	1.433	10	3 0 0
70.17	1.341	11	3 -2 8

Cell and atoms:
a b c (Å): 4.9657 4.9657 18.9928
angles (deg): 90.00 90.00 120.00
Space group R-3 (No. 148, hexagonal axes)
Inequivalent atoms, fractional coordinates:
Ac 0.0000 0.0000 0.0000
Sm 0.0000 0.0000 0.5000
H 0.0000 0.0000 0.3151
H 0.0506 0.4667 0.5542
Rh 0.0000 0.0000 0.2297

The following is a computed XRD peak list of AcSmH6Rh2. It was derived from a cell relaxed with PBE, using Cu Ka.

Most intense lines, 10° ≤ 2θ ≤ 80°, low angle first:
Position (°2θ)	d/Å	I/Imax	index
23.15	3.841	22	0 2 1
28.65	3.116	73	0 0 2
29.53	3.025	100	2 2 -1
29.99	2.980	61	2 0 -2
35.20	2.549	21	3 1 -1
36.85	2.439	35	0 4 0
37.49	2.399	83	2 2 1
38.59	2.333	30	1 3 -2
47.33	1.921	26	0 4 2
56.38	1.632	26	4 2 -3

Cell and atoms:
a b c (Å): 7.926 9.756 6.707
angles (deg): 90.00 111.69 90.00
Space group C2/c (No. 15)
Inequivalent atoms, fractional coordinates:
Ac 0.000 0.150 0.250
Sm 0.000 0.405 0.750
H 0.078 0.389 0.122
H 0.173 0.254 0.619
H 0.193 0.031 0.019
Rh 0.193 0.136 0.816

The following is a computed XRD peak list of AcZnHRh2. It was derived from a cell relaxed with PBE, using Cu Ka.

Most intense lines, 10° ≤ 2θ ≤ 80°, low angle first:
Position (°2θ)	d/Å	I/Imax	index
32.27	2.774	28	1 3 0
33.94	2.641	100	1 1 2
34.06	2.632	50	0 4 1
34.62	2.591	69	1 3 1
40.59	2.223	22	0 2 3
44.19	2.050	35	2 0 0
50.05	1.822	20	1 3 3
56.93	1.617	23	2 4 1
60.45	1.531	19	1 5 3
61.76	1.502	18	1 7 0

Cell and atoms:
a b c (Å): 4.100 11.299 7.253
angles (deg): 90.00 90.00 90.00
Space group Cmcm (No. 63)
Inequivalent atoms, fractional coordinates:
Ac 0.000 0.067 0.250
Zn 0.000 0.210 0.750
H 0.000 0.500 0.000
Rh 0.000 0.342 0.043

The following is a computed XRD peak list of AcH10Ru3. It was derived from a cell relaxed with PBE, using Cu Ka.

Most intense lines, 10° ≤ 2θ ≤ 80°, low angle first:
Position (°2θ)	d/Å	I/Imax	index
18.56	4.782	12	2 0 0
26.36	3.381	12	2 2 0
32.43	2.761	100	2 2 2
37.62	2.391	49	4 0 0
42.26	2.138	8	4 2 0
46.52	1.952	6	4 2 2
54.26	1.691	34	4 4 0
57.85	1.594	4	4 4 2
64.65	1.442	40	6 2 2
67.90	1.380	11	4 4 4

Cell and atoms:
a b c (Å): 9.563 9.563 9.563
angles (deg): 90.00 90.00 90.00
Space group Fm-3m (No. 225)
Inequivalent atoms, fractional coordinates:
Ac 0.250 0.250 0.250
H 0.000 0.161 0.161
H 0.100 0.100 0.400
Ru 0.000 0.000 0.263

The following is a computed XRD peak list of AcTlH6Ru. It was derived from a cell relaxed with PBE, using Cu Ka.

Most intense lines, 10° ≤ 2θ ≤ 80°, low angle first:
Position (°2θ)	d/Å	I/Imax	index
27.92	3.196	100	1 0 1
35.66	2.518	49	1 1 0
43.79	2.067	23	0 1 2
45.88	1.978	27	0 2 1
53.35	1.717	8	1 1 2
57.70	1.598	10	2 0 2
59.43	1.555	25	2 1 1
64.05	1.454	9	3 0 0
69.70	1.349	12	1 2 2
70.89	1.329	8	1 1 3

Cell and atoms:
a b c (Å): 5.0358 5.0358 4.6957
angles (deg): 90.00 90.00 120.00
Space group P3m1 (No. 156)
Inequivalent atoms, fractional coordinates:
Ac 0.0000 0.0000 0.0000
Tl 0.3333 0.6667 0.5894
H 0.3207 0.1604 0.5087
H 0.5117 0.0234 0.1047
Ru 0.6667 0.3333 0.3239